Calculated powder XRD pattern
Compound: AlTlFe2F2
Radiation: a wavelength of 1.5418 Å
Structure: the GGA+U geometry in Alexandria
No peak broadening, texture or thermal motion is included.

Structural model:
```
data_AlTlFe2F2
_chemical_formula_sum 'Al4 Tl4 Fe8 F8'
_space_group_name_H-M_alt 'C 1 2/c 1'
_space_group_IT_number 15
_space_group_name_Hall '-C 2yc'
_cell_length_a 11.915
_cell_length_b 4.793
_cell_length_c 8.174
_cell_angle_alpha 90.00
_cell_angle_beta 105.13
_cell_angle_gamma 90.00
loop_
_atom_site_label
_atom_site_type_symbol
_atom_site_fract_x
_atom_site_fract_y
_atom_site_fract_z
Al1 Al 0.250 0.250 0.000
Tl1 Tl 0.000 0.207 0.250
Fe1 Fe 0.236 0.245 0.661
F1 F 0.092 0.296 0.945
```

Principal peaks in the range 2θ from 5° to 70°, in order of rising 2θ:
index  d/Å  2θ (°)  I_rel
1 1 -1  4.036  22.02  99
0 0 2  3.945  22.54  49
1 1 1  3.704  24.03  56
4 0 0  2.876  31.10  59
4 0 -2  2.681  33.43  45
3 1 1  2.627  34.13  80
0 2 0  2.397  37.53  45
1 1 -3  2.368  38.00  100